Structure and simulated X-ray powder pattern of Nb6PdN (a cell relaxed with GGA-PBE; a wavelength of 1.5418 Å).
No peak broadening, texture or thermal motion is included.

Principal peaks in the range 5 to 70 degrees two-theta, by angle:
- 2θ = 36.7°, d = 2.450 Å, rel. 51
- 2θ = 37.2°, d = 2.416 Å, rel. 100
- 2θ = 37.7°, d = 2.386 Å, rel. 45
- 2θ = 39.4°, d = 2.288 Å, rel. 47
- 2θ = 39.7°, d = 2.270 Å, rel. 46
- 2θ = 49.9°, d = 1.826 Å, rel. 19

Atomic structure:
```
data_Nb6PdN
_cell_length_a 4.860
_cell_length_b 5.371
_cell_length_c 5.477
_cell_angle_alpha 97.69
_cell_angle_beta 109.68
_cell_angle_gamma 92.20
_symmetry_space_group_name_H-M 'P -1'
_symmetry_Int_Tables_number 2
loop_
_symmetry_equiv_pos_as_xyz
'x,y,z'
'-x,-y,-z'
loop_
_atom_site_label
_atom_site_type_symbol
_atom_site_fract_x
_atom_site_fract_y
_atom_site_fract_z
_atom_site_occupancy
Nb1 Nb 0.063 0.294 0.147 1
Nb2 Nb 0.207 0.848 0.440 1
Nb3 Nb 0.403 0.403 0.736 1
Pd1 Pd 0.500 0.000 0.000 1
N1 N 0.000 0.500 0.500 1
```

Structure and simulated X-ray powder pattern of KLiPm2F8 (a cell relaxed with GGA-PBE; a wavelength of 1.5418 Å).
No peak broadening, texture or thermal motion is included.

Principal peaks in the range 5 to 70 degrees two-theta, by angle:
- 2θ = 15.0°, d = 5.906 Å, rel. 100
- 2θ = 22.1°, d = 4.016 Å, rel. 36
- 2θ = 23.0°, d = 3.872 Å, rel. 32
- 2θ = 25.9°, d = 3.444 Å, rel. 47
- 2θ = 26.8°, d = 3.321 Å, rel. 80
- 2θ = 29.1°, d = 3.065 Å, rel. 31

Atomic structure:
```
data_KLiPm2F8
_cell_length_a 4.016
_cell_length_b 5.954
_cell_length_c 7.808
_cell_angle_alpha 82.73
_cell_angle_beta 89.96
_cell_angle_gamma 89.83
_symmetry_space_group_name_H-M 'P -1'
_symmetry_Int_Tables_number 2
loop_
_symmetry_equiv_pos_as_xyz
'x,y,z'
'-x,-y,-z'
loop_
_atom_site_label
_atom_site_type_symbol
_atom_site_fract_x
_atom_site_fract_y
_atom_site_fract_z
_atom_site_occupancy
K1 K 0.000 0.000 0.000 1
Li1 Li 0.000 0.000 0.500 1
Pm1 Pm 0.500 0.459 0.259 1
F1 F 0.001 0.352 0.760 1
F2 F 0.002 0.207 0.293 1
F3 F 0.497 0.732 0.464 1
F4 F 0.500 0.282 0.011 1
```

Structure and simulated X-ray powder pattern of LaPr8Sm6 (a cell relaxed with GGA-PBE; a wavelength of 1.5418 Å).
No peak broadening, texture or thermal motion is included.

Principal peaks in the range 5 to 70 degrees two-theta, by angle:
- 2θ = 29.6°, d = 3.022 Å, rel. 28
- 2θ = 30.5°, d = 2.933 Å, rel. 100
- 2θ = 31.5°, d = 2.844 Å, rel. 30
- 2θ = 31.7°, d = 2.822 Å, rel. 13
- 2θ = 35.7°, d = 2.517 Å, rel. 13
- 2θ = 53.6°, d = 1.711 Å, rel. 13

Atomic structure:
```
data_LaPr8Sm6
_cell_length_a 9.3278
_cell_length_b 9.3278
_cell_length_c 21.2725
_cell_angle_alpha 90.00
_cell_angle_beta 90.00
_cell_angle_gamma 120.00
_symmetry_space_group_name_H-M 'R -3'
_symmetry_Int_Tables_number 148
_symmetry_space_group_name_Hall '-R 3'
loop_
_atom_site_label
_atom_site_type_symbol
_atom_site_fract_x
_atom_site_fract_y
_atom_site_fract_z
_atom_site_occupancy
La1 La 0.0000 0.0000 0.0000 1
Pr1 Pr 0.0000 0.0000 0.4221 1
Pr2 Pr 0.0794 0.5220 0.8068 1
Sm1 Sm 0.0470 0.8038 0.7068 1
```

Structure and simulated X-ray powder pattern of NaLiGe2I6 (a cell relaxed with GGA-PBE; a wavelength of 1.5418 Å).
No peak broadening, texture or thermal motion is included.

Principal peaks in the range 5 to 70 degrees two-theta, by angle:
- 2θ = 23.5°, d = 3.785 Å, rel. 28
- 2θ = 24.5°, d = 3.632 Å, rel. 52
- 2θ = 28.0°, d = 3.190 Å, rel. 100
- 2θ = 28.5°, d = 3.135 Å, rel. 43
- 2θ = 39.6°, d = 2.277 Å, rel. 30
- 2θ = 41.1°, d = 2.197 Å, rel. 37

Atomic structure:
```
data_NaLiGe2I6
_cell_length_a 14.793
_cell_length_b 13.369
_cell_length_c 7.955
_cell_angle_alpha 90.00
_cell_angle_beta 102.90
_cell_angle_gamma 90.00
_symmetry_space_group_name_H-M 'C 1 2/c 1'
_symmetry_Int_Tables_number 15
loop_
_symmetry_equiv_pos_as_xyz
'x,y,z'
'-x,-y,-z'
'-x,y,-z+1/2'
'x,-y,z+1/2'
'x+1/2,y+1/2,z'
'-x+1/2,-y+1/2,-z'
'-x+1/2,y+1/2,-z+1/2'
'x+1/2,-y+1/2,z+1/2'
loop_
_atom_site_label
_atom_site_type_symbol
_atom_site_fract_x
_atom_site_fract_y
_atom_site_fract_z
_atom_site_occupancy
Na1 Na 0.000 0.086 0.250 1
Li1 Li 0.000 0.298 0.750 1
Ge1 Ge 0.249 0.083 0.029 1
I1 I 0.120 0.242 0.075 1
I2 I 0.135 0.073 0.623 1
I3 I 0.135 0.414 0.636 1
```

- What is the formula in the fourth record?
  NaLiGe2I6